Calculated X-ray powder pattern of BaSn2Pd4 for a wavelength of 1.5418 Å, from a PBE-relaxed structure.
Intensities are scaled so that the largest is 1000.

Main lines, by intensity (10° ≤ 2θ ≤ 90°):
Position (°2θ)  intensity
39.91  1000
33.56  750
68.46  362
29.91  155
55.45  155
45.56  152
42.83  149
84.19  137
14.83  135
82.26  134

Structural model:
```
BaSn2Pd4
1.0
-4.223 4.223 4.228
4.223 -4.223 4.228
4.223 4.223 -4.228
Ba Sn Pd
2 4 8
Direct
0.250 0.250 0.000
0.750 0.750 0.000
0.150 0.650 0.799
0.350 0.150 0.500
0.650 0.850 0.500
0.850 0.350 0.201
0.018 0.810 0.500
0.190 0.690 0.208
0.310 0.518 0.500
0.482 0.982 0.792
0.518 0.018 0.208
0.690 0.482 0.500
0.810 0.310 0.792
0.982 0.190 0.500
```

=====

Calculated X-ray powder pattern of BaSr2Pd for a wavelength of 1.5418 Å, from a PBE-relaxed structure.
Intensities are scaled so that the largest is 1000.

Main lines, by intensity (10° ≤ 2θ ≤ 90°):
Position (°2θ)  intensity
26.26  1000
33.97  495
40.79  246
13.87  238
44.19  236
13.34  146
21.49  126
40.62  123
66.57  111
24.48  110

Structural model:
```
BaSr2Pd
1.0
7.653 0.000 0.000
0.000 7.273 0.000
0.000 0.000 13.327
Ba Sr Pd
4 8 4
Direct
0.076 0.250 0.250
0.424 0.750 0.250
0.576 0.250 0.750
0.924 0.750 0.750
0.077 0.239 0.576
0.077 0.261 0.924
0.423 0.739 0.924
0.423 0.761 0.576
0.577 0.239 0.424
0.577 0.261 0.076
0.923 0.739 0.076
0.923 0.761 0.424
0.250 0.000 0.416
0.250 0.500 0.084
0.750 0.000 0.584
0.750 0.500 0.916
```